1.
Starting from a cell relaxed with GGA-PBE, the powder diffractogram of LiYHgO3 was simulated for Cu Kα (weighted mean of Kα1 and Kα2).
No peak broadening, texture or thermal motion is included.

Top 6 peaks for 2θ = 10–80°, in order of falling intensity:
d [Å], I (rel.)
3.330, 100.0
3.024, 65.8
2.296, 50.9
2.185, 39.2
1.858, 20.3
1.512, 20.2

Atomic structure:
abc: 5.272 5.272 8.943
angles: 90.00 90.00 142.45
Element x y z (fractional)
Li: 0.022 0.978 0.750
Li: 0.978 0.022 0.250
Y: 0.500 0.500 0.000
Y: 0.500 0.500 0.500
Hg: 0.253 0.747 0.250
Hg: 0.747 0.253 0.750
O: 0.129 0.871 0.582
O: 0.129 0.871 0.918
O: 0.424 0.576 0.750
O: 0.576 0.424 0.250
O: 0.871 0.129 0.082
O: 0.871 0.129 0.418


2.
Starting from a cell relaxed with GGA-PBE, the powder diffractogram of Li8HgPb2 was simulated for Cu Kα (weighted mean of Kα1 and Kα2).
No peak broadening, texture or thermal motion is included.

Top 6 peaks for 2θ = 10–80°, in order of falling intensity:
d [Å], I (rel.)
3.903, 100.0
2.326, 54.8
1.933, 39.0
2.992, 37.7
3.472, 31.9
3.582, 29.8

Atomic structure:
abc: 4.655 4.655 10.754
angles: 102.45 102.45 59.97
Element x y z (fractional)
Li: 0.088 0.088 0.264
Li: 0.177 0.177 0.532
Li: 0.267 0.267 0.802
Li: 0.359 0.359 0.077
Li: 0.641 0.641 0.923
Li: 0.733 0.733 0.198
Li: 0.823 0.823 0.468
Li: 0.912 0.912 0.736
Hg: 0.000 0.000 0.000
Pb: 0.450 0.450 0.348
Pb: 0.550 0.550 0.652


3.
Starting from a cell relaxed with GGA-PBE, the powder diffractogram of LiHg2Pd was simulated for Cu Kα (weighted mean of Kα1 and Kα2).
No peak broadening, texture or thermal motion is included.

Top 6 peaks for 2θ = 10–80°, in order of falling intensity:
d [Å], I (rel.)
2.390, 100.0
2.191, 39.1
3.099, 31.3
3.755, 24.6
1.426, 19.7
1.893, 16.0

Atomic structure:
abc: 6.190 7.509 6.207
angles: 90.00 90.00 90.00
Element x y z (fractional)
Li: 0.000 0.250 0.011
Li: 0.000 0.750 0.989
Li: 0.500 0.250 0.489
Li: 0.500 0.750 0.511
Hg: 0.250 0.006 0.750
Hg: 0.250 0.494 0.750
Hg: 0.250 0.506 0.250
Hg: 0.250 0.994 0.250
Hg: 0.750 0.006 0.750
Hg: 0.750 0.494 0.750
Hg: 0.750 0.506 0.250
Hg: 0.750 0.994 0.250
Pd: 0.000 0.250 0.491
Pd: 0.000 0.750 0.509
Pd: 0.500 0.250 0.009
Pd: 0.500 0.750 0.991


4.
Starting from a cell relaxed with GGA-PBE, the powder diffractogram of LiHg3Te4Pd was simulated for Cu Kα (weighted mean of Kα1 and Kα2).
No peak broadening, texture or thermal motion is included.

Top 6 peaks for 2θ = 10–80°, in order of falling intensity:
d [Å], I (rel.)
2.316, 100.0
3.781, 82.3
1.975, 42.0
6.549, 34.6
1.337, 34.5
2.929, 28.1

Atomic structure:
abc: 6.549 6.549 6.549
angles: 90.00 90.00 90.00
Element x y z (fractional)
Li: 0.000 0.000 0.000
Hg: 0.000 0.500 0.500
Hg: 0.500 0.000 0.500
Hg: 0.500 0.500 0.000
Te: 0.243 0.243 0.243
Te: 0.243 0.757 0.757
Te: 0.757 0.243 0.757
Te: 0.757 0.757 0.243
Pd: 0.500 0.500 0.500


5.
Starting from a cell relaxed with GGA-PBE, the powder diffractogram of LiReHg3S4 was simulated for Cu Kα (weighted mean of Kα1 and Kα2).
No peak broadening, texture or thermal motion is included.

Top 6 peaks for 2θ = 10–80°, in order of falling intensity:
d [Å], I (rel.)
6.145, 100.0
2.173, 86.8
3.072, 56.8
2.748, 55.7
3.548, 50.4
2.048, 31.3

Atomic structure:
abc: 6.145 6.145 6.145
angles: 90.00 90.00 90.00
Element x y z (fractional)
Li: 0.000 0.000 0.000
Re: 0.500 0.500 0.500
Hg: 0.000 0.500 0.500
Hg: 0.500 0.000 0.500
Hg: 0.500 0.500 0.000
S: 0.255 0.255 0.255
S: 0.255 0.745 0.745
S: 0.745 0.255 0.745
S: 0.745 0.745 0.255